(1)
# Sr2DyCu2Bi2O8
Computed powder X-ray diffraction pattern, Cu Kα (weighted mean of Kα1 and Kα2). Input: a crystal structure in the Materials Project, relaxed with PBE.

Cell and atoms:
Unit cell a=15.524 b=15.524 c=15.524 alpha=165.97 beta=165.97 gamma=19.90
Sites, in units of the cell vectors:
Sr: 0.114 0.114 0.000
Sr: 0.886 0.886 0.000
Dy: 0.000 0.000 0.000
Cu: 0.448 0.448 0.000
Cu: 0.552 0.552 0.000
Bi: 0.297 0.297 0.000
Bi: 0.703 0.703 0.000
O: 0.049 0.549 0.500
O: 0.201 0.201 0.000
O: 0.366 0.366 0.000
O: 0.451 0.951 0.500
O: 0.549 0.049 0.500
O: 0.634 0.634 0.000
O: 0.799 0.799 0.000
O: 0.951 0.451 0.500

Principal peaks in the range 15 to 90 degrees two-theta, sorted by position:
2θ = 25.05°, d 3.555, intensity 44.3
2θ = 27.67°, d 3.223, intensity 45.2
2θ = 29.20°, d 3.058, intensity 19.5
2θ = 31.23°, d 2.864, intensity 100.0
2θ = 33.41°, d 2.682, intensity 90.7
2θ = 35.47°, d 2.531, intensity 19.2
2θ = 44.96°, d 2.016, intensity 39.4
2θ = 47.97°, d 1.896, intensity 42.3
2θ = 58.36°, d 1.581, intensity 35.8
2θ = 77.32°, d 1.234, intensity 18.7

---

(2)
# SrCa3Si4
Computed powder X-ray diffraction pattern, Cu Kα (weighted mean of Kα1 and Kα2). Input: a crystal structure in the Materials Project, relaxed with PBE.

Cell and atoms:
Unit cell a=3.951 b=4.613 c=10.866 alpha=90.00 beta=90.00 gamma=90.00
Sites, in units of the cell vectors:
Sr: 0.000 0.000 0.000
Ca: 0.000 0.500 0.498
Ca: 0.500 0.000 0.719
Ca: 0.500 0.500 0.226
Si: 0.000 0.000 0.295
Si: 0.000 0.500 0.786
Si: 0.500 0.000 0.430
Si: 0.500 0.500 0.920

Principal peaks in the range 15 to 90 degrees two-theta, sorted by position:
2θ = 27.92°, d 3.195, intensity 22.9
2θ = 30.92°, d 2.892, intensity 100.0
2θ = 31.40°, d 2.849, intensity 51.5
2θ = 32.97°, d 2.717, intensity 21.3
2θ = 39.01°, d 2.309, intensity 85.2
2θ = 40.29°, d 2.238, intensity 18.7
2θ = 45.94°, d 1.975, intensity 18.6
2θ = 52.00°, d 1.759, intensity 15.8
2θ = 56.71°, d 1.623, intensity 17.4
2θ = 61.84°, d 1.500, intensity 14.7

---

(3)
# CaTiSbP3O12
Computed powder X-ray diffraction pattern, Cu Kα (weighted mean of Kα1 and Kα2). Input: a crystal structure in the Materials Project, relaxed with PBE.

Cell and atoms:
Unit cell a=9.025 b=9.025 c=9.025 alpha=59.86 beta=59.86 gamma=59.86
Sites, in units of the cell vectors:
Ca: 0.000 0.000 0.000
Ca: 0.500 0.500 0.500
Ti: 0.346 0.346 0.346
Ti: 0.846 0.846 0.846
Sb: 0.148 0.148 0.148
Sb: 0.648 0.648 0.648
P: 0.055 0.458 0.730
P: 0.230 0.958 0.555
P: 0.458 0.730 0.055
P: 0.555 0.230 0.958
P: 0.730 0.055 0.458
P: 0.958 0.555 0.230
O: 0.066 0.952 0.736
O: 0.076 0.275 0.887
O: 0.127 0.493 0.286
O: 0.170 0.982 0.411
O: 0.236 0.452 0.566
O: 0.275 0.887 0.076
O: 0.286 0.127 0.493
O: 0.387 0.775 0.576
O: 0.411 0.170 0.982
O: 0.452 0.566 0.236
O: 0.482 0.670 0.911
O: 0.493 0.286 0.127
O: 0.566 0.236 0.452
O: 0.576 0.387 0.775
O: 0.627 0.786 0.993
O: 0.670 0.911 0.482
O: 0.736 0.066 0.952
O: 0.775 0.576 0.387
O: 0.786 0.993 0.627
O: 0.887 0.076 0.275
O: 0.911 0.482 0.670
O: 0.952 0.736 0.066
O: 0.982 0.411 0.170
O: 0.993 0.627 0.786

Principal peaks in the range 15 to 90 degrees two-theta, sorted by position:
2θ = 19.70°, d 4.506, intensity 100.0
2θ = 23.14°, d 3.844, intensity 64.0
2θ = 27.99°, d 3.187, intensity 15.5
2θ = 31.35°, d 2.853, intensity 79.5
2θ = 34.45°, d 2.603, intensity 15.6
2θ = 34.50°, d 2.600, intensity 33.7
2θ = 44.95°, d 2.017, intensity 19.6
2θ = 47.29°, d 1.922, intensity 30.4
2θ = 53.86°, d 1.702, intensity 24.0
2θ = 59.83°, d 1.546, intensity 25.0

---

(4)
# MgC
Computed powder X-ray diffraction pattern, Cu Kα (weighted mean of Kα1 and Kα2). Input: a crystal structure in the Materials Project, relaxed with PBE.

Cell and atoms:
Unit cell a=2.804 b=2.804 c=2.804 alpha=90.00 beta=90.00 gamma=90.00
Sites, in units of the cell vectors:
Mg: 0.000 0.000 0.000
C: 0.500 0.500 0.500

Principal peaks in the range 15 to 90 degrees two-theta, sorted by position:
2θ = 31.92°, d 2.804, intensity 24.8
2θ = 45.76°, d 1.983, intensity 100.0
2θ = 56.88°, d 1.619, intensity 8.2
2θ = 66.72°, d 1.402, intensity 14.1
2θ = 75.87°, d 1.254, intensity 10.3
2θ = 84.67°, d 1.145, intensity 27.3

---

(5)
# PrMgHg2
Computed powder X-ray diffraction pattern, Cu Kα (weighted mean of Kα1 and Kα2). Input: a crystal structure in the Materials Project, relaxed with PBE.

Cell and atoms:
Unit cell a=5.218 b=5.218 c=5.218 alpha=60.00 beta=60.00 gamma=60.00
Sites, in units of the cell vectors:
Pr: 0.000 0.000 0.000
Mg: 0.500 0.500 0.500
Hg: 0.250 0.250 0.250
Hg: 0.750 0.750 0.750

Principal peaks in the range 15 to 90 degrees two-theta, sorted by position:
2θ = 20.85°, d 4.261, intensity 9.7
2θ = 24.12°, d 3.690, intensity 19.9
2θ = 34.37°, d 2.609, intensity 100.0
2θ = 40.54°, d 2.225, intensity 5.3
2θ = 42.43°, d 2.130, intensity 6.4
2θ = 49.40°, d 1.845, intensity 18.2
2θ = 55.70°, d 1.650, intensity 8.9
2θ = 61.57°, d 1.506, intensity 37.7
2θ = 72.45°, d 1.305, intensity 11.7
2θ = 82.71°, d 1.167, intensity 16.8

---

(6)
# NaTiP2O7
Computed powder X-ray diffraction pattern, Cu Kα (weighted mean of Kα1 and Kα2). Input: a crystal structure in the Materials Project, relaxed with PBE.

Cell and atoms:
Unit cell a=8.811 b=5.314 c=13.507 alpha=90.00 beta=116.93 gamma=90.00
Sites, in units of the cell vectors:
Na: 0.054 0.230 0.190
Na: 0.054 0.270 0.690
Na: 0.946 0.730 0.310
Na: 0.946 0.770 0.810
Ti: 0.237 0.236 0.971
Ti: 0.237 0.264 0.471
Ti: 0.763 0.736 0.529
Ti: 0.763 0.764 0.029
P: 0.183 0.722 0.115
P: 0.183 0.778 0.615
P: 0.333 0.745 0.355
P: 0.333 0.755 0.855
P: 0.667 0.245 0.145
P: 0.667 0.255 0.645
P: 0.817 0.222 0.385
P: 0.817 0.278 0.885
O: 0.021 0.726 0.629
O: 0.021 0.774 0.129
O: 0.193 0.056 0.588
O: 0.193 0.444 0.088
O: 0.205 0.597 0.537
O: 0.205 0.903 0.037
O: 0.226 0.540 0.866
O: 0.226 0.960 0.366
O: 0.248 0.013 0.847
O: 0.248 0.487 0.347
O: 0.339 0.719 0.737
O: 0.339 0.781 0.237
O: 0.481 0.244 0.558
O: 0.481 0.256 0.058
O: 0.519 0.744 0.942
O: 0.519 0.756 0.442
O: 0.661 0.219 0.763
O: 0.661 0.281 0.263
O: 0.752 0.513 0.653
O: 0.752 0.987 0.153
O: 0.774 0.040 0.634
O: 0.774 0.460 0.134
O: 0.795 0.097 0.963
O: 0.795 0.403 0.463
O: 0.807 0.556 0.912
O: 0.807 0.944 0.412
O: 0.979 0.226 0.871
O: 0.979 0.274 0.371

Principal peaks in the range 15 to 90 degrees two-theta, sorted by position:
2θ = 21.78°, d 4.081, intensity 100.0
2θ = 22.64°, d 3.928, intensity 55.4
2θ = 26.67°, d 3.342, intensity 26.6
2θ = 31.46°, d 2.844, intensity 52.6
2θ = 32.37°, d 2.766, intensity 26.1
2θ = 33.74°, d 2.657, intensity 30.5
2θ = 34.23°, d 2.619, intensity 11.9
2θ = 34.91°, d 2.570, intensity 24.2
2θ = 43.45°, d 2.083, intensity 19.8
2θ = 55.39°, d 1.659, intensity 13.2

---

(7)
# CePd3
Computed powder X-ray diffraction pattern, Cu Kα (weighted mean of Kα1 and Kα2). Input: a crystal structure in the Materials Project, relaxed with PBE.

Cell and atoms:
Unit cell a=4.168 b=4.168 c=4.168 alpha=90.00 beta=90.00 gamma=90.00
Sites, in units of the cell vectors:
Ce: 0.000 0.000 0.000
Pd: 0.000 0.500 0.500
Pd: 0.500 0.000 0.500
Pd: 0.500 0.500 0.000

Principal peaks in the range 15 to 90 degrees two-theta, sorted by position:
2θ = 21.32°, d 4.168, intensity 1.3
2θ = 30.33°, d 2.947, intensity 1.1
2θ = 37.37°, d 2.407, intensity 100.0
2θ = 43.42°, d 2.084, intensity 48.9
2θ = 48.86°, d 1.864, intensity 0.6
2θ = 63.08°, d 1.474, intensity 31.7
2θ = 75.67°, d 1.257, intensity 36.9
2θ = 79.69°, d 1.203, intensity 10.7

---

(8)
# LaNiSb2
Computed powder X-ray diffraction pattern, Cu Kα (weighted mean of Kα1 and Kα2). Input: a crystal structure in the Materials Project, relaxed with PBE.

Cell and atoms:
Unit cell a=4.447 b=4.447 c=9.935 alpha=90.00 beta=90.00 gamma=90.00
Sites, in units of the cell vectors:
La: 0.250 0.250 0.240
La: 0.750 0.750 0.760
Ni: 0.250 0.750 0.000
Ni: 0.750 0.250 0.000
Sb: 0.250 0.250 0.873
Sb: 0.250 0.750 0.500
Sb: 0.750 0.250 0.500
Sb: 0.750 0.750 0.127

Principal peaks in the range 15 to 90 degrees two-theta, sorted by position:
2θ = 26.91°, d 3.313, intensity 21.4
2θ = 29.80°, d 2.998, intensity 19.8
2θ = 33.74°, d 2.657, intensity 100.0
2θ = 40.57°, d 2.224, intensity 38.6
2θ = 49.36°, d 1.846, intensity 11.2
2θ = 50.29°, d 1.814, intensity 10.4
2θ = 53.76°, d 1.705, intensity 16.0
2θ = 58.72°, d 1.572, intensity 12.7
2θ = 63.49°, d 1.465, intensity 9.6
2θ = 69.46°, d 1.353, intensity 20.2

---

(9)
# Tb3SbO7
Computed powder X-ray diffraction pattern, Cu Kα (weighted mean of Kα1 and Kα2). Input: a crystal structure in the Materials Project, relaxed with PBE.

Cell and atoms:
Unit cell a=6.463 b=6.508 c=7.613 alpha=73.19 beta=89.79 gamma=81.89
Sites, in units of the cell vectors:
Tb: 0.041 0.004 0.248
Tb: 0.235 0.535 0.617
Tb: 0.238 0.525 0.115
Tb: 0.762 0.475 0.885
Tb: 0.765 0.465 0.383
Tb: 0.959 0.996 0.752
Sb: 0.500 0.000 0.000
Sb: 0.500 0.000 0.500
O: 0.048 0.638 0.845
O: 0.059 0.646 0.334
O: 0.209 0.932 0.547
O: 0.210 0.939 0.983
O: 0.400 0.072 0.231
O: 0.425 0.320 0.457
O: 0.431 0.331 0.887
O: 0.569 0.669 0.113
O: 0.575 0.680 0.543
O: 0.600 0.928 0.769
O: 0.790 0.061 0.017
O: 0.791 0.068 0.453
O: 0.941 0.354 0.666
O: 0.952 0.362 0.155

Principal peaks in the range 15 to 90 degrees two-theta, sorted by position:
2θ = 28.69°, d 3.112, intensity 100.0
2θ = 28.83°, d 3.097, intensity 98.2
2θ = 28.98°, d 3.081, intensity 97.3
2θ = 29.54°, d 3.024, intensity 92.5
2θ = 33.41°, d 2.682, intensity 41.1
2θ = 33.73°, d 2.658, intensity 91.0
2θ = 47.76°, d 1.904, intensity 61.8
2θ = 47.95°, d 1.897, intensity 27.9
2θ = 48.49°, d 1.877, intensity 29.8
2θ = 56.74°, d 1.622, intensity 36.5

---

(10)
# DyNbO4
Computed powder X-ray diffraction pattern, Cu Kα (weighted mean of Kα1 and Kα2). Input: a crystal structure in the Materials Project, relaxed with PBE.

Cell and atoms:
Unit cell a=6.179 b=6.179 c=6.179 alpha=107.23 beta=107.23 gamma=114.05
Sites, in units of the cell vectors:
Dy: 0.375 0.625 0.750
Dy: 0.625 0.375 0.250
Nb: 0.125 0.875 0.250
Nb: 0.875 0.125 0.750
O: 0.136 0.693 0.443
O: 0.250 0.307 0.943
O: 0.307 0.250 0.443
O: 0.307 0.864 0.057
O: 0.693 0.136 0.943
O: 0.693 0.750 0.557
O: 0.750 0.693 0.057
O: 0.864 0.307 0.557

Principal peaks in the range 15 to 90 degrees two-theta, sorted by position:
2θ = 24.28°, d 3.665, intensity 100.0
2θ = 31.72°, d 2.821, intensity 82.8
2θ = 34.61°, d 2.592, intensity 23.9
2θ = 47.65°, d 1.909, intensity 65.2
2θ = 49.75°, d 1.833, intensity 16.9
2θ = 56.11°, d 1.639, intensity 16.1
2θ = 60.21°, d 1.537, intensity 18.7
2θ = 60.59°, d 1.528, intensity 14.5
2θ = 71.35°, d 1.322, intensity 15.1
2θ = 82.11°, d 1.174, intensity 12.4

---

(11)
# AcTh3
Computed powder X-ray diffraction pattern, Cu Kα (weighted mean of Kα1 and Kα2). Input: a crystal structure in the Materials Project, relaxed with PBE.

Cell and atoms:
Unit cell a=7.320 b=7.320 c=6.012 alpha=90.00 beta=90.00 gamma=120.00
Sites, in units of the cell vectors:
Ac: 0.333 0.667 0.250
Ac: 0.667 0.333 0.750
Th: 0.161 0.322 0.750
Th: 0.161 0.839 0.750
Th: 0.322 0.161 0.250
Th: 0.678 0.839 0.750
Th: 0.839 0.161 0.250
Th: 0.839 0.678 0.250

Principal peaks in the range 15 to 90 degrees two-theta, sorted by position:
2θ = 28.15°, d 3.170, intensity 22.9
2θ = 29.72°, d 3.006, intensity 26.9
2θ = 31.92°, d 2.804, intensity 100.0
2θ = 41.40°, d 2.181, intensity 16.7
2θ = 49.83°, d 1.830, intensity 19.5
2θ = 54.15°, d 1.694, intensity 23.3
2θ = 59.10°, d 1.563, intensity 23.6
2θ = 60.40°, d 1.533, intensity 16.5
2θ = 82.01°, d 1.175, intensity 13.9
2θ = 83.17°, d 1.161, intensity 9.3

---

(12)
# V4Cr5S10
Computed powder X-ray diffraction pattern, Cu Kα (weighted mean of Kα1 and Kα2). Input: a crystal structure in the Materials Project, relaxed with PBE.

Cell and atoms:
Unit cell a=5.873 b=6.675 c=8.195 alpha=73.78 beta=69.06 gamma=89.93
Sites, in units of the cell vectors:
V: 0.104 0.222 0.282
V: 0.286 0.596 0.905
V: 0.714 0.404 0.095
V: 0.896 0.778 0.718
Cr: 0.000 0.500 0.500
Cr: 0.215 0.902 0.101
Cr: 0.401 0.286 0.689
Cr: 0.599 0.714 0.311
Cr: 0.785 0.098 0.899
S: 0.088 0.245 0.986
S: 0.109 0.145 0.598
S: 0.284 0.638 0.603
S: 0.329 0.559 0.199
S: 0.488 0.057 0.202
S: 0.512 0.943 0.798
S: 0.671 0.441 0.801
S: 0.716 0.362 0.397
S: 0.891 0.855 0.402
S: 0.912 0.755 0.014

Principal peaks in the range 15 to 90 degrees two-theta, sorted by position:
2θ = 30.32°, d 2.948, intensity 35.1
2θ = 30.44°, d 2.936, intensity 18.0
2θ = 34.16°, d 2.625, intensity 24.3
2θ = 34.30°, d 2.614, intensity 47.5
2θ = 43.99°, d 2.059, intensity 24.2
2θ = 44.03°, d 2.057, intensity 26.6
2θ = 44.21°, d 2.049, intensity 100.0
2θ = 53.79°, d 1.704, intensity 20.4
2θ = 53.98°, d 1.699, intensity 20.9
2θ = 54.07°, d 1.696, intensity 20.4